Entry 1:
Computed X-ray diffraction stick pattern of YLuPu for λ = 1.5418 Å (Cu Kα), from a GGA-PBE-relaxed structure.
Peak positions follow from Bragg's law for the DFT cell and can differ from measured ones.

Largest 10 diffraction maxima, in order of falling intensity, 10° ≤ 2θ ≤ 90°:
hkl  2θ (°)  intensity
1 0 1  31.5  100
0 1 2  36.5  68
0 2 1  62.6  41
0 0 3  31.6  31
0 0 1  10.4  25
1 0 4  52.7  24
1 1 0  52.6  23
0 1 5  62.8  15
2 0 2  65.7  13
2 1 1  86.0  12

Structural model:
```
data_YLuPu
_chemical_formula_sum 'Y1 Lu1 Pu1'
_cell_length_a 3.4829
_cell_length_b 3.4829
_cell_length_c 8.4963
_cell_angle_alpha 90.00
_cell_angle_beta 90.00
_cell_angle_gamma 120.00
_symmetry_space_group_name_H-M 'P 3 m 1'
_symmetry_Int_Tables_number 156
loop_
_symmetry_equiv_pos_as_xyz
'x,y,z'
'-y,x-y,z'
'-x+y,-x,z'
'-y,-x,z'
'-x+y,y,z'
'x,x-y,z'
loop_
_atom_site_label
_atom_site_type_symbol
_atom_site_fract_x
_atom_site_fract_y
_atom_site_fract_z
Y1 Y 0.0000 0.0000 0.0000
Lu1 Lu 0.3333 0.6667 0.6640
Pu1 Pu 0.6667 0.3333 0.3365
```

***

Entry 2:
Computed X-ray diffraction stick pattern of LuPuZr for λ = 1.5418 Å (Cu Kα), from a GGA-PBE-relaxed structure.
Peak positions follow from Bragg's law for the DFT cell and can differ from measured ones.

Largest 10 diffraction maxima, in order of falling intensity, 10° ≤ 2θ ≤ 90°:
hkl  2θ (°)  intensity
1 0 3  33.0  100
1 1 0  38.3  50
2 0 0  55.3  34
2 1 3  65.9  28
1 0 9  65.8  12
2 0 6  69.2  12
1 0 1  27.6  11
0 0 2  12.5  9
0 0 4  25.2  6
1 1 4  46.4  5

Structural model:
```
data_LuPuZr
_chemical_formula_sum 'Lu2 Pu2 Zr2'
_cell_length_a 3.321
_cell_length_b 3.321
_cell_length_c 14.121
_cell_angle_alpha 90.00
_cell_angle_beta 90.00
_cell_angle_gamma 90.00
_symmetry_space_group_name_H-M 'I 4 m m'
_symmetry_Int_Tables_number 107
_symmetry_space_group_name_Hall 'I 4 -2'
loop_
_atom_site_label
_atom_site_type_symbol
_atom_site_fract_x
_atom_site_fract_y
_atom_site_fract_z
Lu1 Lu 0.000 0.000 0.000
Pu1 Pu 0.000 0.000 0.679
Zr1 Zr 0.000 0.000 0.335
```

***

Entry 3:
Computed X-ray diffraction stick pattern of LuScRh for λ = 1.5418 Å (Cu Kα), from a GGA-PBE-relaxed structure.
Peak positions follow from Bragg's law for the DFT cell and can differ from measured ones.

Largest 10 diffraction maxima, in order of falling intensity, 10° ≤ 2θ ≤ 90°:
hkl  2θ (°)  intensity
2 2 0  39.1  100
1 1 1  23.6  65
4 2 2  70.8  34
3 1 1  46.2  34
4 0 0  56.4  17
2 0 0  27.3  15
3 3 1  62.0  14
5 3 1  88.7  11
4 4 0  83.9  11
5 1 1  75.8  11

Structural model:
```
data_LuScRh
_chemical_formula_sum 'Lu4 Sc4 Rh4'
_cell_length_a 6.522
_cell_length_b 6.522
_cell_length_c 6.522
_cell_angle_alpha 90.00
_cell_angle_beta 90.00
_cell_angle_gamma 90.00
_symmetry_space_group_name_H-M 'F -4 3 m'
_symmetry_Int_Tables_number 216
_symmetry_space_group_name_Hall 'F -4 2 3'
loop_
_atom_site_label
_atom_site_type_symbol
_atom_site_fract_x
_atom_site_fract_y
_atom_site_fract_z
Lu1 Lu 0.000 0.000 0.000
Sc1 Sc 0.000 0.000 0.500
Rh1 Rh 0.250 0.250 0.250
```

***

Entry 4:
Computed X-ray diffraction stick pattern of LuTaRu2 for λ = 1.5418 Å (Cu Kα), from a GGA-PBE-relaxed structure.
Peak positions follow from Bragg's law for the DFT cell and can differ from measured ones.

Largest 10 diffraction maxima, in order of falling intensity, 10° ≤ 2θ ≤ 90°:
hkl  2θ (°)  intensity
1 0 2  39.0  100
1 1 0  39.6  49
2 1 2  71.4  34
2 0 0  57.2  17
1 1 4  70.2  16
2 0 4  83.8  10
0 0 4  55.4  8
1 0 0  27.7  8
2 2 0  85.2  5
0 0 2  26.9  5

Structural model:
```
data_LuTaRu2
_chemical_formula_sum 'Lu1 Ta1 Ru2'
_cell_length_a 3.220
_cell_length_b 3.220
_cell_length_c 6.630
_cell_angle_alpha 90.00
_cell_angle_beta 90.00
_cell_angle_gamma 90.00
_symmetry_space_group_name_H-M 'P 4/m m m'
_symmetry_Int_Tables_number 123
_symmetry_space_group_name_Hall '-P 4 2'
loop_
_atom_site_label
_atom_site_type_symbol
_atom_site_fract_x
_atom_site_fract_y
_atom_site_fract_z
Lu1 Lu 0.000 0.000 0.000
Ta1 Ta 0.000 0.000 0.500
Ru1 Ru 0.500 0.500 0.272
```

***

Entry 5:
Computed X-ray diffraction stick pattern of Lu2S3 for λ = 1.5418 Å (Cu Kα), from a GGA-PBE-relaxed structure.
Peak positions follow from Bragg's law for the DFT cell and can differ from measured ones.

Largest 10 diffraction maxima, in order of falling intensity, 10° ≤ 2θ ≤ 90°:
hkl  2θ (°)  intensity
1 1 0  26.4  100
1 1 6  39.6  86
1 0 4  24.6  67
3 0 0  46.7  47
2 0 4  36.4  32
2 1 4  45.5  30
1 1 4  32.9  29
1 0 2  18.0  27
2 2 6  62.8  22
0 0 4  19.2  21

Structural model:
```
data_Lu2S3
_chemical_formula_sum 'Lu12 S18'
_cell_length_a 6.7441
_cell_length_b 6.7441
_cell_length_c 18.4902
_cell_angle_alpha 90.00
_cell_angle_beta 90.00
_cell_angle_gamma 120.00
_symmetry_space_group_name_H-M 'P 63 c m'
_symmetry_Int_Tables_number 185
_symmetry_space_group_name_Hall 'P 6c -2'
loop_
_atom_site_label
_atom_site_type_symbol
_atom_site_fract_x
_atom_site_fract_y
_atom_site_fract_z
Lu1 Lu 0.0000 0.0000 0.0000
Lu2 Lu 0.0000 0.0000 0.2017
Lu3 Lu 0.3333 0.6667 0.0350
Lu4 Lu 0.3333 0.6667 0.3375
S1 S 0.0000 0.3016 0.0967
S2 S 0.0000 0.3348 0.7707
S3 S 0.0000 0.3678 0.4398
```

***

Entry 6:
Computed X-ray diffraction stick pattern of Lu2S3 for λ = 1.5418 Å (Cu Kα), from a GGA-PBE-relaxed structure.
Peak positions follow from Bragg's law for the DFT cell and can differ from measured ones.

Largest 10 diffraction maxima, in order of falling intensity, 10° ≤ 2θ ≤ 90°:
hkl  2θ (°)  intensity
1 1 6  26.7  100
3 1 0  34.6  59
2 1 9  41.3  50
1 0 9  34.8  24
4 0 6  49.8  23
3 2 9  52.5  22
3 1 12  57.5  14
7 2 3  87.6  13
4 3 3  57.4  13
5 3 6  71.0  12

Structural model:
```
data_Lu2S3
_chemical_formula_sum 'Lu32 S48'
_cell_length_a 8.188
_cell_length_b 8.188
_cell_length_c 24.480
_cell_angle_alpha 90.00
_cell_angle_beta 90.00
_cell_angle_gamma 90.00
_symmetry_space_group_name_H-M 'I -4 2 d'
_symmetry_Int_Tables_number 122
_symmetry_space_group_name_Hall 'I -4 2bw'
loop_
_atom_site_label
_atom_site_type_symbol
_atom_site_fract_x
_atom_site_fract_y
_atom_site_fract_z
Lu1 Lu 0.000 0.000 0.163
Lu2 Lu 0.115 0.250 0.625
Lu3 Lu 0.142 0.237 0.288
S1 S 0.060 0.185 0.065
S2 S 0.068 0.185 0.392
S3 S 0.078 0.178 0.732
```